For Ca4Bi6O13, a DFT-relaxed cell (PBE, the Materials Project) gives the theoretical PXRD pattern in this record (copper Kα).

Structure:
```
data_Ca4Bi6O13
_cell_length_a 3.713
_cell_length_b 4.611
_cell_length_c 23.699
_cell_angle_alpha 91.55
_cell_angle_beta 90.85
_cell_angle_gamma 90.17
_symmetry_space_group_name_H-M 'P 1'
_symmetry_Int_Tables_number 1
_symmetry_space_group_name_Hall 'P 1'
loop_
_atom_site_label
_atom_site_fract_x
_atom_site_fract_y
_atom_site_fract_z
_atom_site_occupancy
Ca1 0.000 0.000 0.000 1
Ca2 0.058 0.017 0.152 1
Ca3 0.524 0.509 0.076 1
Ca4 0.585 0.522 0.224 1
Bi1 0.212 0.524 0.686 1
Bi2 0.390 0.832 0.346 1
Bi3 0.393 0.486 0.915 1
Bi4 0.710 0.884 0.580 1
Bi5 0.973 0.935 0.816 1
Bi6 0.985 0.435 0.450 1
O1 0.005 0.498 0.987 1
O2 0.034 0.516 0.134 1
O3 0.063 0.587 0.288 1
O4 0.160 0.941 0.647 1
O5 0.162 0.672 0.534 1
O6 0.296 0.991 0.904 1
O7 0.434 0.809 0.764 1
O8 0.459 0.417 0.396 1
O9 0.503 0.007 0.055 1
O10 0.562 0.028 0.203 1
O11 0.678 0.486 0.631 1
O12 0.956 0.499 0.849 1
O13 0.979 0.864 0.413 1
```

Main lines, sorted by position (5° ≤ 2θ ≤ 70°):
7.46°, intensity 442, hkl 0 0 2; 14.96°, intensity 224, hkl 0 0 4; 24.16°, intensity 587, hkl 0 1 -4; 24.80°, intensity 776, hkl 0 1 4; 26.65°, intensity 1000, hkl 0 1 -5; 30.19°, intensity 303, hkl 0 0 8; 30.37°, intensity 440, hkl 1 0 -5; 31.12°, intensity 801, hkl 1 1 -1; 32.88°, intensity 508, hkl 1 0 -6; 34.06°, intensity 262, hkl 0 0 9; 39.12°, intensity 384, hkl 0 2 0; 41.69°, intensity 283, hkl 1 1 7